This entry pairs a crystal structure of Nd2GeAsPt6 with its theoretical PXRD pattern. Radiation: a wavelength of 1.5418 Å. Structure: the PBE geometry in Alexandria.

Largest 10 diffraction maxima, low angle first, 10° ≤ 2θ ≤ 90°:
10.23 deg, intensity 39, hkl 0 0 1; 29.51 deg, intensity 88, hkl 0 2 2; 33.69 deg, intensity 40, hkl 1 2 2; 38.45 deg, intensity 80, hkl 2 0 2; 38.67 deg, intensity 100, hkl 2 2 0; 41.20 deg, intensity 55, hkl 1 2 3; 42.62 deg, intensity 58, hkl 0 4 0; 44.18 deg, intensity 39, hkl 2 2 2; 47.21 deg, intensity 35, hkl 0 2 4; 58.73 deg, intensity 47, hkl 2 4 2

Cell and atoms:
```
data_Nd2GeAsPt6
_chemical_formula_sum 'Nd4 Ge2 As2 Pt12'
_cell_length_a 5.5712
_cell_length_b 8.4852
_cell_length_c 8.6428
_cell_angle_alpha 90.00
_cell_angle_beta 90.00
_cell_angle_gamma 90.00
_symmetry_space_group_name_H-M 'P m m n'
_symmetry_Int_Tables_number 59
loop_
_symmetry_equiv_pos_as_xyz
'x,y,z'
'-x,-y,-z'
'-x+1/2,-y+1/2,z'
'x+1/2,y+1/2,-z'
'x+1/2,-y,-z'
'-x+1/2,y,z'
'-x,y+1/2,-z'
'x,-y+1/2,z'
loop_
_atom_site_label
_atom_site_type_symbol
_atom_site_fract_x
_atom_site_fract_y
_atom_site_fract_z
Nd1 Nd 0.2500 0.0028 0.2322
Ge1 Ge 0.2500 0.7500 0.7657
As1 As 0.2500 0.2500 0.7672
Pt1 Pt 0.0013 0.2500 0.4885
Pt2 Pt 0.0011 0.7500 0.9996
Pt3 Pt 0.2500 0.0042 0.6144
```